For Ac4P3, a structure optimized by DFT (PBE) gives the theoretical powder X-ray diffraction pattern in this record (Cu Kα, 1.54184 Å).

Cell and atoms:
```
Ac4P3
1.0
2.208 1.275 14.379
-2.208 1.275 14.379
0.000 -2.550 14.379
Ac P
4 3
direct
0.123 0.123 0.123
0.374 0.374 0.374
0.626 0.626 0.626
0.877 0.877 0.877
0.000 0.000 0.000
0.248 0.248 0.248
0.752 0.752 0.752
```

Main lines, sorted by position (15 to 90 degrees two-theta):
2θ = 24.72°, I = 100.0; 2θ = 28.62°, I = 81.2; 2θ = 40.91°, I = 62.2; 2θ = 48.36°, I = 39.3; 2θ = 50.65°, I = 17.1; 2θ = 65.14°, I = 16.4; 2θ = 67.03°, I = 14.9; 2θ = 74.46°, I = 16.5

For VZn5Pd6, a structure optimized by DFT (PBE) gives the theoretical powder X-ray diffraction pattern in this record (Cu Kα, 1.54184 Å).

Cell and atoms:
```
VZn5Pd6
1.0
2.042 -6.119 0.000
2.042 6.119 0.000
0.000 0.000 6.988
V Zn Pd
1 5 6
direct
0.000 0.000 0.000
0.000 0.000 0.500
0.335 0.665 0.000
0.335 0.665 0.500
0.665 0.335 0.000
0.665 0.335 0.500
0.167 0.833 0.251
0.167 0.833 0.749
0.500 0.500 0.249
0.500 0.500 0.751
0.833 0.167 0.251
0.833 0.167 0.749
```

Main lines, sorted by position (15 to 90 degrees two-theta):
2θ = 30.99°, I = 5.5; 2θ = 40.54°, I = 100.0; 2θ = 44.39°, I = 38.3; 2θ = 52.37°, I = 11.6; 2θ = 64.58°, I = 12.0; 2θ = 71.02°, I = 17.9; 2θ = 79.10°, I = 26.3; 2θ = 87.72°, I = 10.2

For Nd3Te2N2, a structure optimized by DFT (PBE) gives the theoretical powder X-ray diffraction pattern in this record (Cu Kα, 1.54184 Å).

Cell and atoms:
```
Nd3Te2N2
1.0
6.781 0.000 0.000
0.000 7.527 0.000
-3.293 0.000 7.099
Nd Te N
6 4 4
direct
0.000 0.000 0.000
0.000 0.500 0.500
0.404 0.135 0.791
0.404 0.365 0.291
0.596 0.635 0.709
0.596 0.865 0.209
0.178 0.629 0.920
0.178 0.871 0.420
0.822 0.129 0.580
0.822 0.371 0.080
0.350 0.109 0.073
0.350 0.391 0.573
0.650 0.609 0.427
0.650 0.891 0.927
```

Main lines, sorted by position (15 to 90 degrees two-theta):
2θ = 25.96°, I = 62.9; 2θ = 26.81°, I = 78.7; 2θ = 28.88°, I = 100.0; 2θ = 31.42°, I = 46.1; 2θ = 33.05°, I = 56.0; 2θ = 34.06°, I = 60.6; 2θ = 36.48°, I = 58.1; 2θ = 52.85°, I = 35.9

For SrSmPa2O8, a structure optimized by DFT (PBE) gives the theoretical powder X-ray diffraction pattern in this record (Cu Kα, 1.54184 Å).

Cell and atoms:
```
SrSmPa2O8
1.0
-2.778 2.778 5.426
2.778 -2.778 5.426
2.778 2.778 -5.426
Sr Sm Pa O
1 1 2 8
direct
0.000 0.000 0.000
0.250 0.750 0.500
0.500 0.500 0.000
0.750 0.250 0.500
0.129 0.146 0.531
0.129 0.598 0.982
0.402 0.384 0.531
0.402 0.871 0.018
0.616 0.146 0.018
0.616 0.598 0.469
0.854 0.384 0.982
0.854 0.871 0.469
```

Main lines, sorted by position (15 to 90 degrees two-theta):
2θ = 17.94°, I = 16.6; 2θ = 28.04°, I = 100.0; 2θ = 32.22°, I = 22.7; 2θ = 46.22°, I = 17.7; 2θ = 46.81°, I = 34.4; 2θ = 54.93°, I = 31.6; 2θ = 55.97°, I = 14.9; 2θ = 75.43°, I = 12.6

For PmY2TmS6, a structure optimized by DFT (PBE) gives the theoretical powder X-ray diffraction pattern in this record (Cu Kα, 1.54184 Å).

Cell and atoms:
```
PmY2TmS6
1.0
3.474 2.006 6.186
-3.474 2.006 6.186
0.000 -4.011 6.186
Pm Y Tm S
1 2 1 6
direct
0.000 0.000 0.000
0.294 0.294 0.294
0.797 0.797 0.797
0.495 0.495 0.495
0.096 0.685 0.408
0.202 0.592 0.891
0.408 0.096 0.685
0.592 0.891 0.202
0.685 0.408 0.096
0.891 0.202 0.592
```

Main lines, sorted by position (15 to 90 degrees two-theta):
2θ = 17.57°, I = 64.4; 2θ = 24.22°, I = 100.0; 2θ = 25.64°, I = 91.0; 2θ = 35.57°, I = 50.2; 2θ = 38.99°, I = 90.0; 2θ = 44.36°, I = 49.3; 2θ = 45.21°, I = 53.8; 2θ = 51.54°, I = 26.9

For Pr2GeMoN5, a structure optimized by DFT (PBE) gives the theoretical powder X-ray diffraction pattern in this record (Cu Kα, 1.54184 Å).

Cell and atoms:
```
Pr2GeMoN5
1.0
1.622 -7.240 0.000
1.622 7.240 0.000
0.000 0.000 10.300
Pr Ge Mo N
4 2 2 10
direct
0.113 0.887 0.500
0.132 0.868 0.095
0.868 0.132 0.595
0.887 0.113 0.000
0.450 0.550 0.259
0.550 0.450 0.759
0.225 0.775 0.817
0.775 0.225 0.317
0.046 0.954 0.855
0.287 0.713 0.450
0.318 0.682 0.186
0.349 0.651 0.805
0.498 0.502 0.595
0.502 0.498 0.095
0.651 0.349 0.305
0.682 0.318 0.686
0.713 0.287 0.950
0.954 0.046 0.355
```

Main lines, sorted by position (15 to 90 degrees two-theta):
2θ = 28.78°, I = 66.1; 2θ = 30.18°, I = 78.7; 2θ = 33.24°, I = 100.0; 2θ = 34.43°, I = 41.2; 2θ = 38.31°, I = 30.2; 2θ = 38.69°, I = 60.5; 2θ = 45.53°, I = 34.7; 2θ = 56.22°, I = 26.2

For Y2Pd5Au5, a structure optimized by DFT (PBE) gives the theoretical powder X-ray diffraction pattern in this record (Cu Kα, 1.54184 Å).

Cell and atoms:
```
Y2Pd5Au5
1.0
6.117 -2.092 0.000
6.117 2.092 0.000
-3.954 0.000 8.479
Y Pd Au
2 5 5
direct
0.084 0.084 0.248
0.916 0.916 0.752
0.000 0.000 0.500
0.167 0.167 0.995
0.255 0.255 0.753
0.745 0.745 0.247
0.833 0.833 0.005
0.337 0.337 0.496
0.407 0.407 0.245
0.500 0.500 0.000
0.593 0.593 0.755
0.663 0.663 0.504
```

Main lines, sorted by position (15 to 90 degrees two-theta):
2θ = 22.72°, I = 15.3; 2θ = 37.20°, I = 100.0; 2θ = 37.58°, I = 97.7; 2θ = 42.65°, I = 34.2; 2θ = 43.25°, I = 33.3; 2θ = 44.44°, I = 29.8; 2θ = 62.36°, I = 22.1; 2θ = 63.76°, I = 31.2

For BaLi9Ag3, a structure optimized by DFT (PBE) gives the theoretical powder X-ray diffraction pattern in this record (Cu Kα, 1.54184 Å).

Cell and atoms:
```
BaLi9Ag3
1.0
2.852 -6.903 0.000
2.852 6.903 0.000
-2.663 0.000 6.900
Ba Li Ag
1 9 3
direct
0.000 0.000 0.000
0.025 0.662 0.648
0.260 0.502 0.765
0.338 0.975 0.352
0.498 0.740 0.235
0.500 0.500 0.500
0.502 0.260 0.765
0.662 0.025 0.648
0.740 0.498 0.235
0.975 0.338 0.352
0.000 0.000 0.500
0.000 0.500 0.000
0.500 0.000 0.000
```

Main lines, sorted by position (15 to 90 degrees two-theta):
2θ = 17.86°, I = 63.8; 2θ = 18.18°, I = 47.8; 2θ = 25.59°, I = 28.5; 2θ = 25.82°, I = 100.0; 2θ = 26.03°, I = 27.7; 2θ = 36.18°, I = 46.5; 2θ = 36.83°, I = 92.7; 2θ = 53.07°, I = 28.3